Record 1
Computed powder diffractogram
Compound: Mg6CrBiO8
Radiation: Cu Kα (weighted mean of Kα1 and Kα2)
Structure: a GGA+U-relaxed structure
Neutral-atom scattering factors, no anomalous dispersion.

Crystal structure
Lattice parameters (Å, degrees): 4.551 4.551 8.919 90.00 90.00 90.00
Space group P4/mmm (No. 123)
Unique sites:
Mg: 0.000 0.000 0.000
Mg: 0.000 0.000 0.500
Mg: 0.000 0.500 0.233
Cr: 0.500 0.500 0.000
Bi: 0.500 0.500 0.500
O: 0.000 0.000 0.248
O: 0.000 0.500 0.000
O: 0.000 0.500 0.500
O: 0.500 0.500 0.228

The 8 most intense peaks (15 to 90 degrees two-theta), by intensity:
two_theta, Rel. int., (hkl)
39.61, 100, 2 0 0
19.51, 87, 1 0 0
34.37, 79, 1 1 2
28.01, 75, 1 0 2
21.93, 64, 1 0 1
57.91, 57, 2 0 4
40.46, 45, 0 0 4
19.91, 43, 0 0 2

***

Record 2
Computed powder diffractogram
Compound: KFeAs3H7O13
Radiation: Cu Kα (weighted mean of Kα1 and Kα2)
Structure: a GGA+U-relaxed structure
Neutral-atom scattering factors, no anomalous dispersion.

Crystal structure
Lattice parameters (Å, degrees): 4.766 8.736 14.665 90.00 104.27 90.00
Space group Pc (No. 7)
Unique sites:
K: 0.000 0.006 0.000
Fe: 0.886 0.227 0.763
As: 0.285 0.346 0.616
As: 0.386 0.035 0.264
As: 0.491 0.355 0.911
H: 0.024 0.417 0.302
H: 0.064 0.230 0.207
H: 0.324 0.326 0.043
H: 0.465 0.337 0.486
H: 0.707 0.229 0.320
H: 0.746 0.416 0.223
H: 0.924 0.497 0.028
O: 0.045 0.223 0.646
O: 0.119 0.478 0.080
O: 0.167 0.058 0.822
O: 0.178 0.392 0.826
O: 0.184 0.158 0.177
O: 0.348 0.261 0.514
O: 0.414 0.252 0.007
O: 0.593 0.063 0.705
O: 0.598 0.153 0.351
O: 0.598 0.393 0.696
O: 0.651 0.477 0.455
O: 0.725 0.230 0.878
O: 0.885 0.343 0.263

The 8 most intense peaks (15 to 90 degrees two-theta), by intensity:
two_theta, Rel. int., (hkl)
27.75, 100, 1 2 -1
32.80, 84, 1 2 2
21.30, 68, 0 2 1
25.49, 67, 1 1 -3
16.08, 60, 0 1 2
27.46, 59, 1 1 2
29.51, 52, 1 1 -4
27.09, 49, 0 1 4

***

Record 3
Computed powder diffractogram
Compound: Mn3CrP6O24
Radiation: Cu Kα (weighted mean of Kα1 and Kα2)
Structure: a GGA+U-relaxed structure
Neutral-atom scattering factors, no anomalous dispersion.

Crystal structure
Lattice parameters (Å, degrees): 8.4190 8.4190 21.5195 90.00 90.00 120.00
Space group R3 (No. 146, hexagonal axes)
Unique sites:
Mn: 0.0000 0.0000 0.0000
Mn: 0.0000 0.0000 0.2123
Mn: 0.0000 0.0000 0.7121
Cr: 0.0000 0.0000 0.4988
P: 0.9997 0.2850 0.6069
P: 0.0514 0.6681 0.7727
O: 0.0275 0.1979 0.5478
O: 0.0283 0.8371 0.7679
O: 0.0304 0.1915 0.2681
O: 0.0387 0.8339 0.0473
O: 0.1642 0.4624 0.3326
O: 0.1663 0.7026 0.8318
O: 0.1686 0.6935 0.1130
O: 0.1735 0.4741 0.6106

The 8 most intense peaks (15 to 90 degrees two-theta), by intensity:
two_theta, Rel. int., (hkl)
24.52, 100, 1 1 3
20.52, 60, 1 0 4
29.60, 52, 0 2 4
32.79, 49, 1 1 6
21.11, 30, 1 1 0
36.99, 13, 3 0 0
54.07, 13, 3 -1 10
50.26, 13, 4 -2 6

***

Record 4
Computed powder diffractogram
Compound: V9O17
Radiation: Cu Kα (weighted mean of Kα1 and Kα2)
Structure: a GGA+U-relaxed structure
Neutral-atom scattering factors, no anomalous dispersion.

Crystal structure
Lattice parameters (Å, degrees): 5.537 7.119 14.771 96.04 90.22 108.16
Space group P1 (No. 1)
Unique sites:
V: 0.000 0.000 0.000
V: 0.001 0.497 0.996
V: 0.078 0.479 0.570
V: 0.086 0.989 0.568
V: 0.139 0.396 0.770
V: 0.141 0.901 0.772
V: 0.238 0.874 0.342
V: 0.240 0.379 0.344
V: 0.407 0.284 0.120
V: 0.413 0.785 0.115
V: 0.525 0.777 0.685
V: 0.531 0.278 0.690
V: 0.584 0.200 0.892
V: 0.585 0.702 0.888
V: 0.655 0.168 0.453
V: 0.659 0.665 0.456
V: 0.821 0.079 0.228
V: 0.832 0.580 0.229
O: 0.020 0.835 0.452
O: 0.074 0.633 0.124
O: 0.107 0.268 0.035
O: 0.129 0.588 0.312
O: 0.133 0.123 0.708
O: 0.180 0.248 0.221
O: 0.181 0.778 0.634
O: 0.216 0.037 0.888
O: 0.291 0.699 0.798
O: 0.299 0.009 0.077
O: 0.305 0.512 0.470
O: 0.358 0.162 0.382
O: 0.368 0.480 0.658
O: 0.371 0.653 0.980
O: 0.441 0.134 0.567
O: 0.467 0.906 0.239
O: 0.486 0.397 0.822
O: 0.527 0.560 0.145
O: 0.532 0.881 0.423
O: 0.536 0.044 0.751
O: 0.598 0.538 0.335
O: 0.621 0.322 0.004
O: 0.701 0.984 0.923
O: 0.705 0.283 0.193
O: 0.713 0.809 0.589
O: 0.762 0.940 0.103
O: 0.769 0.462 0.498
O: 0.786 0.770 0.774
O: 0.857 0.398 0.683
O: 0.877 0.211 0.359
O: 0.891 0.718 0.956
O: 0.932 0.352 0.870
O: 0.953 0.175 0.536
O: 0.958 0.880 0.270

The 8 most intense peaks (15 to 90 degrees two-theta), by intensity:
two_theta, Rel. int., (hkl)
29.13, 100, 1 0 -4
26.79, 74, 1 -2 1
28.32, 68, 1 -2 2
24.37, 44, 1 0 -3
35.60, 44, 1 0 5
54.62, 43, -1 4 2
35.95, 39, 1 2 0
56.53, 32, 2 -4 3

***

Record 5
Computed powder diffractogram
Compound: Li3NiB2O6
Radiation: Cu Kα (weighted mean of Kα1 and Kα2)
Structure: a GGA+U-relaxed structure
Neutral-atom scattering factors, no anomalous dispersion.

Crystal structure
Lattice parameters (Å, degrees): 4.984 6.309 8.052 74.46 89.41 89.71
Space group P-1 (No. 2)
Unique sites:
Li: 0.170 0.260 0.390
Li: 0.173 0.975 0.742
Li: 0.324 0.107 0.073
Ni: 0.348 0.448 0.724
B: 0.167 0.675 0.090
B: 0.340 0.828 0.427
O: 0.116 0.330 0.904
O: 0.209 0.992 0.315
O: 0.220 0.718 0.586
O: 0.294 0.837 0.971
O: 0.301 0.511 0.214
O: 0.391 0.231 0.602

The 8 most intense peaks (15 to 90 degrees two-theta), by intensity:
two_theta, Rel. int., (hkl)
32.19, 100, 0 2 2
23.87, 58, 1 1 1
23.68, 53, 0 1 2
21.10, 51, 1 0 1
27.54, 40, 1 1 -1
29.93, 39, -1 1 2
35.61, 34, 1 1 -2
17.80, 32, 1 0 0

***

Record 6
Computed powder diffractogram
Compound: Li9Mn2Co5O16
Radiation: Cu Kα (weighted mean of Kα1 and Kα2)
Structure: a GGA+U-relaxed structure
Neutral-atom scattering factors, no anomalous dispersion.

Crystal structure
Lattice parameters (Å, degrees): 2.986 7.792 12.544 89.28 89.79 81.42
Space group P1 (No. 1)
Unique sites:
Li: 0.000 0.000 0.000
Li: 0.049 0.880 0.681
Li: 0.123 0.747 0.376
Li: 0.236 0.504 0.740
Li: 0.379 0.246 0.127
Li: 0.504 0.993 0.506
Li: 0.631 0.745 0.870
Li: 0.757 0.498 0.248
Li: 0.886 0.234 0.623
Mn: 0.453 0.113 0.806
Mn: 0.824 0.373 0.937
Co: 0.178 0.625 0.061
Co: 0.317 0.373 0.438
Co: 0.553 0.872 0.187
Co: 0.687 0.631 0.565
Co: 0.935 0.123 0.313
O: 0.018 0.956 0.838
O: 0.075 0.792 0.531
O: 0.139 0.692 0.208
O: 0.191 0.559 0.910
O: 0.324 0.442 0.583
O: 0.355 0.309 0.289
O: 0.452 0.190 0.960
O: 0.464 0.066 0.665
O: 0.516 0.940 0.335
O: 0.549 0.803 0.037
O: 0.668 0.670 0.702
O: 0.734 0.556 0.417
O: 0.811 0.445 0.086
O: 0.881 0.288 0.789
O: 0.905 0.188 0.461
O: 0.971 0.057 0.164

The 8 most intense peaks (15 to 90 degrees two-theta), by intensity:
two_theta, Rel. int., (hkl)
18.35, 100, 0 1 -2
41.89, 32, 1 -2 1
43.81, 28, 1 3 -1
44.78, 25, 0 1 6
34.85, 18, -1 1 1
62.22, 16, 2 1 0
36.11, 13, 1 2 1
36.74, 11, 0 2 4

***

Record 7
Computed powder diffractogram
Compound: Li7Ni8O16
Radiation: Cu Kα (weighted mean of Kα1 and Kα2)
Structure: a GGA+U-relaxed structure
Neutral-atom scattering factors, no anomalous dispersion.

Crystal structure
Lattice parameters (Å, degrees): 6.451 6.554 7.581 65.08 75.85 72.20
Space group P-1 (No. 2)
Unique sites:
Li: 0.000 0.000 0.000
Li: 0.134 0.866 0.378
Li: 0.257 0.746 0.747
Li: 0.377 0.623 0.129
Ni: 0.065 0.439 0.692
Ni: 0.182 0.311 0.066
Ni: 0.312 0.192 0.435
Ni: 0.440 0.064 0.811
O: 0.034 0.239 0.327
O: 0.077 0.660 0.029
O: 0.179 0.110 0.711
O: 0.197 0.511 0.406
O: 0.305 0.966 0.094
O: 0.318 0.389 0.803
O: 0.402 0.882 0.458
O: 0.447 0.275 0.164

The 8 most intense peaks (15 to 90 degrees two-theta), by intensity:
two_theta, Rel. int., (hkl)
18.57, 100, 1 1 0
43.73, 23, 0 3 1
44.40, 22, 1 0 -3
44.65, 21, 3 1 2
36.23, 14, -1 2 1
36.68, 13, 0 1 3
36.87, 12, 2 0 2
63.86, 12, 1 3 -2

***

Record 8
Computed powder diffractogram
Compound: NbVO5
Radiation: Cu Kα (weighted mean of Kα1 and Kα2)
Structure: a GGA+U-relaxed structure
Neutral-atom scattering factors, no anomalous dispersion.

Crystal structure
Lattice parameters (Å, degrees): 13.979 5.577 14.076 90.00 119.91 90.00
Space group P2_1/c (No. 14)
Unique sites:
Nb: 0.059 0.242 0.202
Nb: 0.441 0.747 0.642
V: 0.154 0.734 0.092
V: 0.346 0.240 0.938
O: 0.009 0.533 0.241
O: 0.075 0.742 0.449
O: 0.116 0.545 0.651
O: 0.133 0.042 0.632
O: 0.205 0.246 0.337
O: 0.295 0.730 0.632
O: 0.374 0.040 0.534
O: 0.376 0.537 0.501
O: 0.426 0.216 0.376
O: 0.499 0.026 0.236

The 8 most intense peaks (15 to 90 degrees two-theta), by intensity:
two_theta, Rel. int., (hkl)
21.61, 100, 0 1 2
20.32, 69, 1 1 -2
30.94, 40, 3 1 -4
19.28, 35, 1 0 2
33.66, 33, 4 1 0
19.38, 33, 3 0 -2
32.10, 29, 0 2 0
25.08, 25, 1 1 2